Record 1
Diffraction record for BaCuPSe4. The powder XRD pattern is theoretical, not measured: it uses a structure optimized by DFT (GGA-PBE) and Cu Kα (λ = 1.5418 Å).
Neutral-atom scattering factors, no anomalous dispersion.

Structure:
```
data_BaCuPSe4
_symmetry_space_group_name_H-M 'I -4'
_symmetry_Int_Tables_number 82
_cell_length_a 7.2867
_cell_length_b 7.2867
_cell_length_c 8.1361
_cell_angle_alpha 90.00
_cell_angle_beta 90.00
_cell_angle_gamma 90.00
loop_
_symmetry_equiv_pos_as_xyz
'x,y,z'
'y,-x,-z'
'-x,-y,z'
'-y,x,-z'
'x+1/2,y+1/2,z+1/2'
'y+1/2,-x+1/2,-z+1/2'
'-x+1/2,-y+1/2,z+1/2'
'-y+1/2,x+1/2,-z+1/2'
loop_
_atom_site_label
_atom_site_type_symbol
_atom_site_fract_x
_atom_site_fract_y
_atom_site_fract_z
Ba1 Ba 0.0000 0.0000 0.0000
Cu1 Cu 0.0000 0.0000 0.5000
P1 P 0.0000 0.5000 0.7500
Se1 Se 0.1441 0.2606 0.6266
```

Most intense lines, 2θ = 15–90°, most intense first:
(hkl)  2θ/deg  I/Imax
1 1 2  27.94  100
2 1 1  29.53  63
1 0 1  16.33  39
1 1 0  17.21  32
2 0 4  51.45  28
1 3 0  39.09  26
3 1 2  45.23  25
2 0 2  33.00  25
2 2 0  34.82  22
3 2 1  46.29  18

---

Record 2
Diffraction record for BaU2CuP4. The powder XRD pattern is theoretical, not measured: it uses a structure optimized by DFT (GGA-PBE) and Cu Kα (λ = 1.5418 Å).
Neutral-atom scattering factors, no anomalous dispersion.

Structure:
```
data_BaU2CuP4
_symmetry_space_group_name_H-M 'C m c m'
_symmetry_Int_Tables_number 63
_symmetry_space_group_name_Hall '-C 2c 2'
_cell_length_a 4.0538
_cell_length_b 13.5641
_cell_length_c 13.4059
_cell_angle_alpha 90.00
_cell_angle_beta 90.00
_cell_angle_gamma 90.00
loop_
_atom_site_label
_atom_site_type_symbol
_atom_site_fract_x
_atom_site_fract_y
_atom_site_fract_z
Ba1 Ba 0.0000 0.1072 0.2500
U1 U 0.0000 0.3693 0.0579
Cu1 Cu 0.0000 0.1614 0.7500
P1 P 0.0000 0.0000 0.0000
P2 P 0.0000 0.2574 0.6077
P3 P 0.0000 0.4274 0.2500
```

Most intense lines, 2θ = 15–90°, most intense first:
(hkl)  2θ/deg  I/Imax
0 2 3  23.85  100
1 1 2  26.53  81
1 3 2  32.53  79
0 4 0  26.28  50
1 3 1  30.36  41
1 5 3  45.04  34
1 1 5  40.90  32
1 3 5  45.24  28
2 0 0  44.71  27
0 2 5  36.02  26